Record 1
# Y3CoPb
Calculated powder X-ray diffraction pattern, Cu Kα (λ = 1.5418 Å). Input: a GGA-PBE-relaxed structure.

Cell and atoms:
```
data_Y3CoPb
_chemical_formula_sum 'Y24 Co8 Pb8'
_symmetry_space_group_name_H-M 'C m c e'
_symmetry_Int_Tables_number 64
_symmetry_space_group_name_Hall '-C 2ac 2'
_cell_length_a 10.4208
_cell_length_b 15.8198
_cell_length_c 6.5007
_cell_angle_alpha 90.00
_cell_angle_beta 90.00
_cell_angle_gamma 90.00
loop_
_atom_site_label
_atom_site_fract_x
_atom_site_fract_y
_atom_site_fract_z
Y1 0.0000 0.0564 0.2505
Y2 0.0000 0.2498 0.9997
Y3 0.2500 0.1089 0.7500
Co1 0.0000 0.1063 0.7475
Pb1 0.2500 0.1707 0.2500
```

Peak list (10 most intense, 10° ≤ 2θ ≤ 90°, by angle)
2θ = 11.19°, intensity 23.2; 2θ = 27.44°, intensity 40.2; 2θ = 28.33°, intensity 27.2; 2θ = 31.56°, intensity 70.4; 2θ = 32.47°, intensity 22.0; 2θ = 34.43°, intensity 100.0; 2θ = 35.76°, intensity 28.1; 2θ = 38.26°, intensity 28.4; 2θ = 44.57°, intensity 21.6; 2θ = 51.20°, intensity 29.9

---

Record 2
# Be3B12W
Calculated powder X-ray diffraction pattern, Cu Kα (λ = 1.5418 Å). Input: a GGA-PBE-relaxed structure.

Cell and atoms:
```
data_Be3B12W
_chemical_formula_sum 'Be18 B72 W6'
_symmetry_space_group_name_H-M 'R 3 c'
_symmetry_Int_Tables_number 161
_symmetry_space_group_name_Hall 'R 3 -2"c'
_cell_length_a 11.9390
_cell_length_b 11.9390
_cell_length_c 6.6675
_cell_angle_alpha 90.00
_cell_angle_beta 90.00
_cell_angle_gamma 120.00
loop_
_atom_site_label
_atom_site_fract_x
_atom_site_fract_y
_atom_site_fract_z
Be1 0.0531 0.3367 0.0000
B1 0.0925 0.2048 0.0614
B2 0.1076 0.3392 0.5000
B3 0.1339 0.4386 0.2847
B4 0.1862 0.4597 0.6775
W1 0.0000 0.0000 0.1252
```

Peak list (10 most intense, 10° ≤ 2θ ≤ 90°, by angle)
2θ = 14.84°, intensity 100.0; 2θ = 25.85°, intensity 32.2; 2θ = 28.12°, intensity 36.7; 2θ = 29.94°, intensity 22.2; 2θ = 31.94°, intensity 25.2; 2θ = 35.39°, intensity 26.0; 2θ = 39.96°, intensity 24.9; 2θ = 41.54°, intensity 17.1; 2θ = 47.02°, intensity 17.2; 2θ = 55.50°, intensity 11.1

---

Record 3
# Tb3Pr2Ho9
Calculated powder X-ray diffraction pattern, Cu Kα (λ = 1.5418 Å). Input: a GGA-PBE-relaxed structure.

Cell and atoms:
```
data_Tb3Pr2Ho9
_chemical_formula_sum 'Tb3 Pr2 Ho9'
_symmetry_space_group_name_H-M 'P 1'
_symmetry_Int_Tables_number 1
_cell_length_a 6.1504
_cell_length_b 7.9627
_cell_length_c 9.4248
_cell_angle_alpha 89.98
_cell_angle_beta 89.97
_cell_angle_gamma 75.04
loop_
_symmetry_equiv_pos_as_xyz
'x,y,z'
loop_
_atom_site_label
_atom_site_fract_x
_atom_site_fract_y
_atom_site_fract_z
Tb1 0.0000 0.0000 0.0000
Tb2 0.1426 0.5720 0.1397
Tb3 0.4288 0.7156 0.4247
Pr1 0.0003 0.5010 0.4984
Pr2 0.1427 0.0708 0.6421
Ho1 0.2860 0.1433 0.2816
Ho2 0.2878 0.6419 0.7861
Ho3 0.4304 0.2147 0.9282
Ho4 0.5715 0.2856 0.5701
Ho5 0.5715 0.7860 0.0697
Ho6 0.7126 0.3571 0.2113
Ho7 0.7145 0.8565 0.7154
Ho8 0.8551 0.9301 0.3538
Ho9 0.8571 0.4288 0.8582
```

Peak list (10 most intense, 10° ≤ 2θ ≤ 90°, by angle)
2θ = 30.78°, intensity 100.0; 2θ = 35.69°, intensity 50.6; 2θ = 51.32°, intensity 24.1; 2θ = 51.43°, intensity 12.0; 2θ = 61.04°, intensity 28.6; 2θ = 61.13°, intensity 10.7; 2θ = 64.08°, intensity 9.3; 2θ = 83.72°, intensity 10.4; 2θ = 86.41°, intensity 8.3; 2θ = 86.53°, intensity 5.5

---

Record 4
# Tm4Ag3Hg
Calculated powder X-ray diffraction pattern, Cu Kα (λ = 1.5418 Å). Input: a GGA-PBE-relaxed structure.

Cell and atoms:
```
data_Tm4Ag3Hg
_chemical_formula_sum 'Tm4 Ag3 Hg1'
_symmetry_space_group_name_H-M 'P m m m'
_symmetry_Int_Tables_number 47
_cell_length_a 3.6018
_cell_length_b 5.1165
_cell_length_c 10.2196
_cell_angle_alpha 90.00
_cell_angle_beta 90.00
_cell_angle_gamma 90.00
loop_
_symmetry_equiv_pos_as_xyz
'x,y,z'
'-x,-y,-z'
'-x,-y,z'
'x,y,-z'
'x,-y,-z'
'-x,y,z'
'-x,y,-z'
'x,-y,z'
loop_
_atom_site_label
_atom_site_fract_x
_atom_site_fract_y
_atom_site_fract_z
Tm1 0.0000 0.0000 0.0000
Tm2 0.0000 0.0000 0.5000
Tm3 0.0000 0.5000 0.2461
Ag1 0.5000 0.0000 0.2489
Ag2 0.5000 0.5000 0.0000
Hg1 0.5000 0.5000 0.5000
```

Peak list (10 most intense, 10° ≤ 2θ ≤ 90°, by angle)
2θ = 35.15°, intensity 100.0; 2θ = 50.48°, intensity 11.8; 2θ = 50.69°, intensity 5.9; 2θ = 63.02°, intensity 24.1; 2θ = 63.15°, intensity 12.0; 2θ = 74.13°, intensity 1.9; 2θ = 74.24°, intensity 1.9; 2θ = 74.35°, intensity 7.5; 2θ = 84.82°, intensity 10.7; 2θ = 85.16°, intensity 5.4

---

Record 5
# CsHg3Pt
Calculated powder X-ray diffraction pattern, Cu Kα (λ = 1.5418 Å). Input: a GGA-PBE-relaxed structure.

Cell and atoms:
```
data_CsHg3Pt
_chemical_formula_sum 'Cs4 Hg12 Pt4'
_symmetry_space_group_name_H-M 'C m c m'
_symmetry_Int_Tables_number 63
_symmetry_space_group_name_Hall '-C 2c 2'
_cell_length_a 6.0785
_cell_length_b 20.2434
_cell_length_c 5.9914
_cell_angle_alpha 90.00
_cell_angle_beta 90.00
_cell_angle_gamma 90.00
loop_
_atom_site_label
_atom_site_fract_x
_atom_site_fract_y
_atom_site_fract_z
Cs1 0.0000 0.1066 0.2500
Hg1 0.0000 0.5000 0.0000
Hg2 0.2398 0.2179 0.7500
Pt1 0.0000 0.3914 0.2500
```

Peak list (10 most intense, 10° ≤ 2θ ≤ 90°, by angle)
2θ = 15.22°, intensity 73.7; 2θ = 17.20°, intensity 45.6; 2θ = 21.28°, intensity 38.3; 2θ = 24.69°, intensity 81.9; 2θ = 30.72°, intensity 99.5; 2θ = 31.14°, intensity 59.6; 2θ = 37.61°, intensity 55.9; 2θ = 40.27°, intensity 53.5; 2θ = 42.81°, intensity 43.4; 2θ = 46.17°, intensity 100.0

---

Record 6
# Sr2Al9Rh3
Calculated powder X-ray diffraction pattern, Cu Kα (λ = 1.5418 Å). Input: a GGA-PBE-relaxed structure.

Cell and atoms:
```
data_Sr2Al9Rh3
_chemical_formula_sum 'Sr8 Al36 Rh12'
_symmetry_space_group_name_H-M 'C 1 2/c 1'
_symmetry_Int_Tables_number 15
_cell_length_a 13.3303
_cell_length_b 7.6075
_cell_length_c 10.8855
_cell_angle_alpha 90.00
_cell_angle_beta 114.26
_cell_angle_gamma 90.00
loop_
_symmetry_equiv_pos_as_xyz
'x,y,z'
'-x,-y,-z'
'-x,y,-z+1/2'
'x,-y,z+1/2'
'x+1/2,y+1/2,z'
'-x+1/2,-y+1/2,-z'
'-x+1/2,y+1/2,-z+1/2'
'x+1/2,-y+1/2,z+1/2'
loop_
_atom_site_label
_atom_site_fract_x
_atom_site_fract_y
_atom_site_fract_z
Sr1 0.1692 0.0833 0.2488
Al1 0.0000 0.3743 0.2500
Al2 0.0608 0.0883 0.9307
Al3 0.0964 0.4172 0.0456
Al4 0.1007 0.3171 0.7477
Al5 0.2244 0.4190 0.4357
Rh1 0.0851 0.2440 0.5007
Rh2 0.2500 0.2500 0.0000
```

Peak list (10 most intense, 10° ≤ 2θ ≤ 90°, by angle)
2θ = 17.87°, intensity 30.1; 2θ = 23.18°, intensity 31.2; 2θ = 29.43°, intensity 100.0; 2θ = 29.59°, intensity 49.7; 2θ = 35.84°, intensity 53.1; 2θ = 35.98°, intensity 28.6; 2θ = 36.20°, intensity 54.8; 2θ = 40.61°, intensity 43.5; 2θ = 40.98°, intensity 83.7; 2θ = 61.09°, intensity 24.1

---

Record 7
# HfBPRhCl
Calculated powder X-ray diffraction pattern, Cu Kα (λ = 1.5418 Å). Input: a GGA-PBE-relaxed structure.

Cell and atoms:
```
data_HfBPRhCl
_chemical_formula_sum 'Hf1 B1 P1 Rh1 Cl1'
_symmetry_space_group_name_H-M 'P 1'
_symmetry_Int_Tables_number 1
_cell_length_a 3.1928
_cell_length_b 4.1773
_cell_length_c 8.0211
_cell_angle_alpha 79.33
_cell_angle_beta 89.15
_cell_angle_gamma 89.40
loop_
_symmetry_equiv_pos_as_xyz
'x,y,z'
loop_
_atom_site_label
_atom_site_fract_x
_atom_site_fract_y
_atom_site_fract_z
Hf1 0.0000 0.0000 0.0000
B1 0.5035 0.0853 0.7682
P1 0.0030 0.2868 0.6673
Rh1 0.5259 0.5623 0.8613
Cl1 0.4905 0.9314 0.2497
```

Peak list (10 most intense, 10° ≤ 2θ ≤ 90°, by angle)
2θ = 11.23°, intensity 100.0; 2θ = 22.52°, intensity 13.1; 2θ = 26.27°, intensity 7.8; 2θ = 34.34°, intensity 6.8; 2θ = 35.49°, intensity 6.4; 2θ = 35.93°, intensity 15.3; 2θ = 36.44°, intensity 16.2; 2θ = 38.73°, intensity 9.0; 2θ = 43.46°, intensity 6.3; 2θ = 44.96°, intensity 7.4

---

Record 8
# BaNaH4Rh
Calculated powder X-ray diffraction pattern, Cu Kα (λ = 1.5418 Å). Input: a GGA-PBE-relaxed structure.

Cell and atoms:
```
data_BaNaH4Rh
_chemical_formula_sum 'Ba2 Na2 H8 Rh2'
_symmetry_space_group_name_H-M 'I 4 m m'
_symmetry_Int_Tables_number 107
_symmetry_space_group_name_Hall 'I 4 -2'
_cell_length_a 3.8559
_cell_length_b 3.8559
_cell_length_c 12.8984
_cell_angle_alpha 90.00
_cell_angle_beta 90.00
_cell_angle_gamma 90.00
loop_
_atom_site_label
_atom_site_fract_x
_atom_site_fract_y
_atom_site_fract_z
Ba1 0.0000 0.0000 0.0000
Na1 0.0000 0.0000 0.2640
H1 0.0000 0.0000 0.5162
H2 0.0000 0.0000 0.7848
H3 0.0000 0.5000 0.1501
Rh1 0.0000 0.0000 0.6515
```

Peak list (10 most intense, 10° ≤ 2θ ≤ 90°, by angle)
2θ = 13.73°, intensity 45.4; 2θ = 24.09°, intensity 27.6; 2θ = 31.16°, intensity 100.0; 2θ = 32.85°, intensity 50.5; 2θ = 35.75°, intensity 16.4; 2θ = 42.15°, intensity 21.6; 2θ = 47.14°, intensity 18.6; 2θ = 54.35°, intensity 15.3; 2θ = 57.59°, intensity 34.2; 2θ = 65.02°, intensity 20.9

---

Record 9
# AgSe
Calculated powder X-ray diffraction pattern, Cu Kα (λ = 1.5418 Å). Input: a GGA-PBE-relaxed structure.

Cell and atoms:
```
data_AgSe
_chemical_formula_sum 'Ag16 Se16'
_symmetry_space_group_name_H-M 'F d d d'
_symmetry_Int_Tables_number 70
_cell_length_a 6.1212
_cell_length_b 9.5065
_cell_length_c 13.3674
_cell_angle_alpha 90.00
_cell_angle_beta 90.00
_cell_angle_gamma 90.00
loop_
_symmetry_equiv_pos_as_xyz
'x,y,z'
'-x,-y,-z'
'-x+1/4,-y+1/4,z'
'x+1/4,y+1/4,-z'
'x,-y+1/4,-z+1/4'
'-x,y+1/4,z+1/4'
'-x+1/4,y,-z+1/4'
'x+1/4,-y,z+1/4'
'x,y+1/2,z+1/2'
'-x,-y+1/2,-z+1/2'
'-x+1/4,-y+3/4,z+1/2'
'x+1/4,y+3/4,-z+1/2'
'x,-y+3/4,-z+3/4'
'-x,y+3/4,z+3/4'
'-x+1/4,y+1/2,-z+3/4'
'x+1/4,-y+1/2,z+3/4'
'x+1/2,y,z+1/2'
'-x+1/2,-y,-z+1/2'
'-x+3/4,-y+1/4,z+1/2'
'x+3/4,y+1/4,-z+1/2'
'x+1/2,-y+1/4,-z+3/4'
'-x+1/2,y+1/4,z+3/4'
'-x+3/4,y,-z+3/4'
'x+3/4,-y,z+3/4'
'x+1/2,y+1/2,z'
'-x+1/2,-y+1/2,-z'
'-x+3/4,-y+3/4,z'
'x+3/4,y+3/4,-z'
'x+1/2,-y+3/4,-z+1/4'
'-x+1/2,y+3/4,z+1/4'
'-x+3/4,y+1/2,-z+1/4'
'x+3/4,-y+1/2,z+1/4'
loop_
_atom_site_label
_atom_site_fract_x
_atom_site_fract_y
_atom_site_fract_z
Ag1 0.1250 0.1250 0.2849
Se1 0.0775 0.3750 0.8750
```

Peak list (10 most intense, 10° ≤ 2θ ≤ 90°, by angle)
2θ = 18.47°, intensity 17.6; 2θ = 26.46°, intensity 100.0; 2θ = 32.17°, intensity 42.5; 2θ = 37.83°, intensity 77.0; 2θ = 44.43°, intensity 49.9; 2θ = 44.93°, intensity 45.1; 2θ = 46.00°, intensity 17.7; 2θ = 50.50°, intensity 23.0; 2θ = 54.58°, intensity 12.6; 2θ = 72.95°, intensity 11.0

---

Record 10
# Ti3Al4Rh
Calculated powder X-ray diffraction pattern, Cu Kα (λ = 1.5418 Å). Input: a GGA-PBE-relaxed structure.

Cell and atoms:
```
data_Ti3Al4Rh
_chemical_formula_sum 'Ti6 Al8 Rh2'
_symmetry_space_group_name_H-M 'P m n 21'
_symmetry_Int_Tables_number 31
_cell_length_a 9.2065
_cell_length_b 5.9780
_cell_length_c 4.5769
_cell_angle_alpha 90.00
_cell_angle_beta 90.00
_cell_angle_gamma 90.00
loop_
_symmetry_equiv_pos_as_xyz
'x,y,z'
'-x+1/2,-y,z+1/2'
'-x,y,z'
'x+1/2,-y,z+1/2'
loop_
_atom_site_label
_atom_site_fract_x
_atom_site_fract_y
_atom_site_fract_z
Ti1 0.0000 0.1142 0.0000
Ti2 0.2332 0.1038 0.4962
Al1 0.0000 0.3915 0.5016
Al2 0.0000 0.6403 0.0003
Al3 0.2453 0.3730 0.9950
Rh1 0.0000 0.8580 0.4994
```

Peak list (10 most intense, 10° ≤ 2θ ≤ 90°, by angle)
2θ = 14.82°, intensity 28.8; 2θ = 21.68°, intensity 9.9; 2θ = 31.36°, intensity 15.6; 2θ = 39.14°, intensity 28.9; 2θ = 39.37°, intensity 29.8; 2θ = 41.05°, intensity 100.0; 2θ = 56.73°, intensity 18.5; 2θ = 72.22°, intensity 15.8; 2θ = 72.53°, intensity 17.1; 2θ = 89.06°, intensity 8.5

---

Record 11
# AcPa4Te8
Calculated powder X-ray diffraction pattern, Cu Kα (λ = 1.5418 Å). Input: a GGA-PBE-relaxed structure.

Cell and atoms:
```
data_AcPa4Te8
_chemical_formula_sum 'Ac4 Pa16 Te32'
_symmetry_space_group_name_H-M 'F -4 3 m'
_symmetry_Int_Tables_number 216
_symmetry_space_group_name_Hall 'F -4 2 3'
_cell_length_a 12.5830
_cell_length_b 12.5830
_cell_length_c 12.5830
_cell_angle_alpha 90.00
_cell_angle_beta 90.00
_cell_angle_gamma 90.00
loop_
_atom_site_label
_atom_site_fract_x
_atom_site_fract_y
_atom_site_fract_z
Ac1 0.0000 0.0000 0.0000
Pa1 0.1049 0.1049 0.3951
Te1 0.1350 0.1350 0.6350
Te2 0.1438 0.1438 0.1438
```

Peak list (10 most intense, 10° ≤ 2θ ≤ 90°, by angle)
2θ = 12.18°, intensity 45.8; 2θ = 23.45°, intensity 73.8; 2θ = 28.37°, intensity 92.2; 2θ = 30.98°, intensity 25.3; 2θ = 34.93°, intensity 55.1; 2θ = 37.13°, intensity 70.8; 2θ = 40.56°, intensity 100.0; 2θ = 54.58°, intensity 29.6; 2θ = 62.65°, intensity 40.9; 2θ = 77.34°, intensity 25.2

---

Record 12
# Zr2ScAg2
Calculated powder X-ray diffraction pattern, Cu Kα (λ = 1.5418 Å). Input: a GGA-PBE-relaxed structure.

Cell and atoms:
```
data_Zr2ScAg2
_chemical_formula_sum 'Zr4 Sc2 Ag4'
_symmetry_space_group_name_H-M 'P 4/m b m'
_symmetry_Int_Tables_number 127
_symmetry_space_group_name_Hall '-P 4 2ab'
_cell_length_a 8.0616
_cell_length_b 8.0616
_cell_length_c 3.3131
_cell_angle_alpha 90.00
_cell_angle_beta 90.00
_cell_angle_gamma 90.00
loop_
_atom_site_label
_atom_site_fract_x
_atom_site_fract_y
_atom_site_fract_z
Zr1 0.1738 0.3262 0.0000
Sc1 0.0000 0.0000 0.5000
Ag1 0.1238 0.6238 0.5000
```

Peak list (10 most intense, 10° ≤ 2θ ≤ 90°, by angle)
2θ = 15.54°, intensity 28.4; 2θ = 35.06°, intensity 16.1; 2θ = 35.20°, intensity 38.2; 2θ = 36.84°, intensity 100.0; 2θ = 40.34°, intensity 15.1; 2θ = 44.98°, intensity 9.7; 2θ = 49.16°, intensity 9.9; 2θ = 65.43°, intensity 13.8; 2θ = 67.42°, intensity 10.4; 2θ = 68.82°, intensity 12.1